This entry pairs a crystal structure of V4CrCuO12 with its theoretical PXRD pattern. Radiation: CuKα. Structure: DFT lattice parameters and positions (GGA+U).
Neutral-atom scattering factors, no anomalous dispersion.

The 8 most intense peaks (5 to 70 degrees two-theta), in order of rising 2θ:
d (Å)  2θ/deg  intensity  hkl
6.506  13.6  25.0  0 1 0
4.821  18.4  45.5  1 0 1
4.494  19.8  46.5  0 1 -1
3.802  23.4  26.6  1 -1 0
3.149  28.3  100.0  1 2 0
2.967  30.1  62.2  0 1 2
2.775  32.3  48.6  2 0 0
2.556  35.1  27.1  1 -2 0

Atomic structure:
```
data_V4CrCuO12
_chemical_formula_sum 'V4 Cr1 Cu1 O12'
_cell_length_a 5.9061
_cell_length_b 6.7354
_cell_length_c 6.7360
_cell_angle_alpha 83.70
_cell_angle_beta 75.24
_cell_angle_gamma 75.23
_symmetry_space_group_name_H-M 'P 1'
_symmetry_Int_Tables_number 1
loop_
_symmetry_equiv_pos_as_xyz
'x,y,z'
loop_
_atom_site_label
_atom_site_fract_x
_atom_site_fract_y
_atom_site_fract_z
V1 0.0000 0.0000 0.0000
V2 0.0050 0.5841 0.5841
V3 0.4892 0.4114 0.7746
V4 0.5159 0.8094 0.1725
Cr1 0.5027 0.2811 0.3029
Cu1 0.0038 0.1076 0.4761
O1 0.0113 0.1232 0.7699
O2 0.1406 0.3834 0.4172
O3 0.1980 0.5623 0.7595
O4 0.3033 0.8649 0.0154
O5 0.4272 0.9988 0.3463
O6 0.4723 0.2940 0.0139
O7 0.5331 0.5701 0.2900
O8 0.5776 0.2377 0.5854
O9 0.7017 0.5686 0.7190
O10 0.8071 0.8246 0.0217
O11 0.8647 0.1668 0.2007
O12 0.9939 0.8143 0.4610
```